Structure and calculated powder X-ray diffraction pattern of Gd3Si5 (a DFT-relaxed cell (PBE, OQMD); Cu Ka).

Main lines, by angle (10 to 80 degrees two-theta):
2theta	intensity
21.1	20
26.8	52
34.3	100
42.9	12
47.3	23
51.3	18
52.3	12
59.7	17
65.8	17
79.5	15

Crystal structure
```
data_Gd3Si5
_symmetry_space_group_name_H-M 'P -6 2 m'
_symmetry_Int_Tables_number 189
_symmetry_space_group_name_Hall 'P -6 -2'
_cell_length_a 6.6591
_cell_length_b 6.6591
_cell_length_c 4.2131
_cell_angle_alpha 90.00
_cell_angle_beta 90.00
_cell_angle_gamma 120.00
loop_
_atom_site_label
_atom_site_type_symbol
_atom_site_fract_x
_atom_site_fract_y
_atom_site_fract_z
_atom_site_occupancy
Gd1 Gd 0.0000 0.6494 0.0000 1
Si1 Si 0.0000 0.2793 0.5000 1
Si2 Si 0.3333 0.6667 0.5000 1
```


Structure and calculated powder X-ray diffraction pattern of GdYTa2Si2 (a DFT-relaxed cell (PBE, OQMD); Cu Ka).

Main lines, by angle (10 to 80 degrees two-theta):
2theta	intensity
11.3	60
25.0	17
32.0	28
33.6	100
34.5	30
39.3	61
45.2	38
57.3	23
58.1	27
76.0	19

Crystal structure
```
data_GdYTa2Si2
_symmetry_space_group_name_H-M 'P 4 m m'
_symmetry_Int_Tables_number 99
_symmetry_space_group_name_Hall 'P 4 -2'
_cell_length_a 4.0094
_cell_length_b 4.0094
_cell_length_c 7.8100
_cell_angle_alpha 90.00
_cell_angle_beta 90.00
_cell_angle_gamma 90.00
loop_
_atom_site_label
_atom_site_type_symbol
_atom_site_fract_x
_atom_site_fract_y
_atom_site_fract_z
_atom_site_occupancy
Gd1 Gd 0.0000 0.0000 0.0000 1
Y1 Y 0.5000 0.5000 0.7050 1
Ta1 Ta 0.0000 0.5000 0.3536 1
Si1 Si 0.0000 0.0000 0.5903 1
Si2 Si 0.5000 0.5000 0.1168 1
```


Structure and calculated powder X-ray diffraction pattern of TbGdSi2 (a DFT-relaxed cell (PBE, OQMD); Cu Ka).

Main lines, by angle (10 to 80 degrees two-theta):
2theta	intensity
27.2	31
27.8	40
30.1	100
32.3	74
33.2	82
36.0	42
37.3	46
40.8	38
52.6	35
58.8	32

Crystal structure
```
data_TbGdSi2
_symmetry_space_group_name_H-M 'P m c 21'
_symmetry_Int_Tables_number 26
_symmetry_space_group_name_Hall 'P 2c -2'
_cell_length_a 3.8614
_cell_length_b 5.7449
_cell_length_c 7.9706
_cell_angle_alpha 90.00
_cell_angle_beta 90.00
_cell_angle_gamma 90.00
loop_
_atom_site_label
_atom_site_type_symbol
_atom_site_fract_x
_atom_site_fract_y
_atom_site_fract_z
_atom_site_occupancy
Tb1 Tb 0.0000 0.1350 0.0000 1
Gd1 Gd 0.5000 0.3650 0.3582 1
Si1 Si 0.0000 0.3784 0.6412 1
Si2 Si 0.5000 0.1215 0.7170 1
```


Structure and calculated powder X-ray diffraction pattern of GdTlSiTe3 (a DFT-relaxed cell (PBE, OQMD); Cu Ka).

Main lines, by angle (10 to 80 degrees two-theta):
2theta	intensity
19.3	38
25.8	37
26.2	49
27.3	100
30.4	98
30.5	37
38.2	39
39.2	41
39.7	35
47.1	34

Crystal structure
```
data_GdTlSiTe3
_symmetry_space_group_name_H-M 'C m c m'
_symmetry_Int_Tables_number 63
_symmetry_space_group_name_Hall '-C 2c 2'
_cell_length_a 4.7071
_cell_length_b 14.7622
_cell_length_c 11.7302
_cell_angle_alpha 90.00
_cell_angle_beta 90.00
_cell_angle_gamma 90.00
loop_
_atom_site_label
_atom_site_type_symbol
_atom_site_fract_x
_atom_site_fract_y
_atom_site_fract_z
_atom_site_occupancy
Gd1 Gd 0.0000 0.0000 0.0000 1
Tl1 Tl 0.0000 0.2496 0.2500 1
Si1 Si 0.0000 0.4703 0.7500 1
Te1 Te 0.0000 0.0732 0.7500 1
Te2 Te 0.0000 0.3638 0.5577 1
```


Structure and calculated powder X-ray diffraction pattern of GdZrSi (a DFT-relaxed cell (PBE, OQMD); Cu Ka).

Main lines, by angle (10 to 80 degrees two-theta):
2theta	intensity
23.2	15
26.9	81
38.4	100
45.4	8
47.5	23
55.4	17
60.9	3
62.7	30
69.4	34
74.3	3

Crystal structure
```
data_GdZrSi
_symmetry_space_group_name_H-M 'F -4 3 m'
_symmetry_Int_Tables_number 216
_symmetry_space_group_name_Hall 'F -4 2 3'
_cell_length_a 6.6312
_cell_length_b 6.6312
_cell_length_c 6.6312
_cell_angle_alpha 90.00
_cell_angle_beta 90.00
_cell_angle_gamma 90.00
loop_
_atom_site_label
_atom_site_type_symbol
_atom_site_fract_x
_atom_site_fract_y
_atom_site_fract_z
_atom_site_occupancy
Gd1 Gd 0.0000 0.0000 0.0000 1
Zr1 Zr 0.0000 0.0000 0.5000 1
Si1 Si 0.2500 0.2500 0.2500 1
```


Structure and calculated powder X-ray diffraction pattern of SmGd2Te3 (a DFT-relaxed cell (PBE, OQMD); Cu Ka).

Main lines, by angle (10 to 80 degrees two-theta):
2theta	intensity
24.8	2
28.7	100
41.0	76
48.5	1
50.8	27
59.3	13
67.2	35
74.5	6
74.7	19

Crystal structure
```
data_SmGd2Te3
_symmetry_space_group_name_H-M 'P -3 m 1'
_symmetry_Int_Tables_number 164
_symmetry_space_group_name_Hall '-P 3 2"'
_cell_length_a 4.4025
_cell_length_b 4.4025
_cell_length_c 10.8050
_cell_angle_alpha 90.00
_cell_angle_beta 90.00
_cell_angle_gamma 120.00
loop_
_atom_site_label
_atom_site_type_symbol
_atom_site_fract_x
_atom_site_fract_y
_atom_site_fract_z
_atom_site_occupancy
Sm1 Sm 0.0000 0.0000 0.0000 1
Gd1 Gd 0.3333 0.6667 0.6655 1
Te1 Te 0.0000 0.0000 0.5000 1
Te2 Te 0.3333 0.6667 0.1704 1
```


What did the second record say?
Structure and calculated powder X-ray diffraction pattern of GdYTa2Si2 (a DFT-relaxed cell (PBE, OQMD); Cu Ka).

Main lines, by angle (10 to 80 degrees two-theta):
2theta	intensity
11.3	60
25.0	17
32.0	28
33.6	100
34.5	30
39.3	61
45.2	38
57.3	23
58.1	27
76.0	19

Crystal structure
```
data_GdYTa2Si2
_symmetry_space_group_name_H-M 'P 4 m m'
_symmetry_Int_Tables_number 99
_symmetry_space_group_name_Hall 'P 4 -2'
_cell_length_a 4.0094
_cell_length_b 4.0094
_cell_length_c 7.8100
_cell_angle_alpha 90.00
_cell_angle_beta 90.00
_cell_angle_gamma 90.00
loop_
_atom_site_label
_atom_site_type_symbol
_atom_site_fract_x
_atom_site_fract_y
_atom_site_fract_z
_atom_site_occupancy
Gd1 Gd 0.0000 0.0000 0.0000 1
Y1 Y 0.5000 0.5000 0.7050 1
Ta1 Ta 0.0000 0.5000 0.3536 1
Si1 Si 0.0000 0.0000 0.5903 1
Si2 Si 0.5000 0.5000 0.1168 1
```


Repeat the fifth record exactly.
Structure and calculated powder X-ray diffraction pattern of GdZrSi (a DFT-relaxed cell (PBE, OQMD); Cu Ka).

Main lines, by angle (10 to 80 degrees two-theta):
2theta	intensity
23.2	15
26.9	81
38.4	100
45.4	8
47.5	23
55.4	17
60.9	3
62.7	30
69.4	34
74.3	3

Crystal structure
```
data_GdZrSi
_symmetry_space_group_name_H-M 'F -4 3 m'
_symmetry_Int_Tables_number 216
_symmetry_space_group_name_Hall 'F -4 2 3'
_cell_length_a 6.6312
_cell_length_b 6.6312
_cell_length_c 6.6312
_cell_angle_alpha 90.00
_cell_angle_beta 90.00
_cell_angle_gamma 90.00
loop_
_atom_site_label
_atom_site_type_symbol
_atom_site_fract_x
_atom_site_fract_y
_atom_site_fract_z
_atom_site_occupancy
Gd1 Gd 0.0000 0.0000 0.0000 1
Zr1 Zr 0.0000 0.0000 0.5000 1
Si1 Si 0.2500 0.2500 0.2500 1
```


Copy entry 2 word for word.
Structure and calculated powder X-ray diffraction pattern of GdYTa2Si2 (a DFT-relaxed cell (PBE, OQMD); Cu Ka).

Main lines, by angle (10 to 80 degrees two-theta):
2theta	intensity
11.3	60
25.0	17
32.0	28
33.6	100
34.5	30
39.3	61
45.2	38
57.3	23
58.1	27
76.0	19

Crystal structure
```
data_GdYTa2Si2
_symmetry_space_group_name_H-M 'P 4 m m'
_symmetry_Int_Tables_number 99
_symmetry_space_group_name_Hall 'P 4 -2'
_cell_length_a 4.0094
_cell_length_b 4.0094
_cell_length_c 7.8100
_cell_angle_alpha 90.00
_cell_angle_beta 90.00
_cell_angle_gamma 90.00
loop_
_atom_site_label
_atom_site_type_symbol
_atom_site_fract_x
_atom_site_fract_y
_atom_site_fract_z
_atom_site_occupancy
Gd1 Gd 0.0000 0.0000 0.0000 1
Y1 Y 0.5000 0.5000 0.7050 1
Ta1 Ta 0.0000 0.5000 0.3536 1
Si1 Si 0.0000 0.0000 0.5903 1
Si2 Si 0.5000 0.5000 0.1168 1
```